Computed XRD peak list
Compound: PuCu5Hg
Radiation: Cu Kα
Structure: a cell relaxed with GGA-PBE

Structural model:
```
data_PuCu5Hg
_chemical_formula_sum 'Pu4 Cu20 Hg4'
_symmetry_space_group_name_H-M 'P n m a'
_symmetry_Int_Tables_number 62
_cell_length_a 8.3472
_cell_length_b 5.0719
_cell_length_c 10.5095
_cell_angle_alpha 90.00
_cell_angle_beta 90.00
_cell_angle_gamma 90.00
loop_
_symmetry_equiv_pos_as_xyz
'x,y,z'
'-x,-y,-z'
'-x+1/2,-y,z+1/2'
'x+1/2,y,-z+1/2'
'x+1/2,-y+1/2,-z+1/2'
'-x+1/2,y+1/2,z+1/2'
'-x,y+1/2,-z'
'x,-y+1/2,z'
loop_
_atom_site_label
_atom_site_type_symbol
_atom_site_fract_x
_atom_site_fract_y
_atom_site_fract_z
Pu1 Pu 0.2448 0.2500 0.0644
Cu1 Cu 0.0540 0.7500 0.1096
Cu2 Cu 0.0670 0.0002 0.3142
Cu3 Cu 0.0828 0.2500 0.5166
Cu4 Cu 0.1862 0.2500 0.7420
Hg1 Hg 0.1365 0.7500 0.8653
```

Most intense lines, 10 to 90 degrees two-theta, most intense first:
- 2θ = 37.9°, I = 100.0, hkl 3 1 1
- 2θ = 44.5°, I = 36.2, hkl 2 1 4
- 2θ = 31.0°, I = 31.2, hkl 0 1 3
- 2θ = 35.4°, I = 27.7, hkl 0 2 0
- 2θ = 35.8°, I = 24.0, hkl 1 0 4
- 2θ = 45.5°, I = 20.3, hkl 1 2 3
- 2θ = 65.2°, I = 20.3, hkl 3 3 1
- 2θ = 32.9°, I = 20.1, hkl 1 1 3
- 2θ = 65.8°, I = 19.3, hkl 1 1 7
- 2θ = 42.6°, I = 18.5, hkl 2 2 1

Computed XRD peak list
Compound: RbCu2HgSe2
Radiation: Cu Kα
Structure: a cell relaxed with GGA-PBE

Structural model:
```
data_RbCu2HgSe2
_chemical_formula_sum 'Rb2 Cu4 Hg2 Se4'
_symmetry_space_group_name_H-M 'P 1 21/m 1'
_symmetry_Int_Tables_number 11
_cell_length_a 6.9680
_cell_length_b 5.6098
_cell_length_c 9.0046
_cell_angle_alpha 90.00
_cell_angle_beta 108.51
_cell_angle_gamma 90.00
loop_
_symmetry_equiv_pos_as_xyz
'x,y,z'
'-x,-y,-z'
'-x,y+1/2,-z'
'x,-y+1/2,z'
loop_
_atom_site_label
_atom_site_type_symbol
_atom_site_fract_x
_atom_site_fract_y
_atom_site_fract_z
Rb1 Rb 0.1835 0.2500 0.3651
Cu1 Cu 0.3022 0.0147 0.8102
Hg1 Hg 0.3277 0.7500 0.0862
Se1 Se 0.1194 0.2500 0.9301
Se2 Se 0.3290 0.7500 0.6238
```

Most intense lines, 10 to 90 degrees two-theta, most intense first:
- 2θ = 26.2°, I = 100.0, hkl 0 1 2
- 2θ = 10.4°, I = 69.7, hkl 0 0 1
- 2θ = 31.4°, I = 46.9, hkl 2 1 0
- 2θ = 43.3°, I = 38.5, hkl 2 2 -2
- 2θ = 27.0°, I = 25.9, hkl 2 0 0
- 2θ = 31.9°, I = 18.1, hkl 0 2 0
- 2θ = 42.7°, I = 16.2, hkl 2 1 2
- 2θ = 38.4°, I = 15.6, hkl 0 2 2
- 2θ = 21.2°, I = 13.9, hkl 1 1 -1
- 2θ = 45.4°, I = 13.8, hkl 0 2 3

Computed XRD peak list
Compound: RbCuHg2Te
Radiation: Cu Kα
Structure: a cell relaxed with GGA-PBE

Structural model:
```
data_RbCuHg2Te
_chemical_formula_sum 'Rb1 Cu1 Hg2 Te1'
_symmetry_space_group_name_H-M 'P 4/m m m'
_symmetry_Int_Tables_number 123
_symmetry_space_group_name_Hall '-P 4 2'
_cell_length_a 5.3743
_cell_length_b 5.3743
_cell_length_c 5.4221
_cell_angle_alpha 90.00
_cell_angle_beta 90.00
_cell_angle_gamma 90.00
loop_
_atom_site_label
_atom_site_type_symbol
_atom_site_fract_x
_atom_site_fract_y
_atom_site_fract_z
Rb1 Rb 0.0000 0.0000 0.0000
Cu1 Cu 0.5000 0.5000 0.5000
Hg1 Hg 0.0000 0.5000 0.5000
Te1 Te 0.5000 0.5000 0.0000
```

Most intense lines, 10 to 90 degrees two-theta, most intense first:
- 2θ = 28.7°, I = 100.0, hkl 1 1 1
- 2θ = 33.3°, I = 53.6, hkl 2 0 0
- 2θ = 47.6°, I = 39.5, hkl 2 0 2
- 2θ = 56.8°, I = 30.3, hkl 3 1 1
- 2θ = 33.0°, I = 27.5, hkl 0 0 2
- 2θ = 16.3°, I = 20.4, hkl 0 0 1
- 2θ = 59.4°, I = 20.4, hkl 2 2 2
- 2θ = 47.9°, I = 19.5, hkl 2 2 0
- 2θ = 56.4°, I = 15.5, hkl 1 1 3
- 2θ = 89.1°, I = 13.9, hkl 4 2 2

Computed XRD peak list
Compound: RbY2CuHg
Radiation: Cu Kα
Structure: a cell relaxed with GGA-PBE

Structural model:
```
data_RbY2CuHg
_chemical_formula_sum 'Rb1 Y2 Cu1 Hg1'
_symmetry_space_group_name_H-M 'P 4/m m m'
_symmetry_Int_Tables_number 123
_symmetry_space_group_name_Hall '-P 4 2'
_cell_length_a 5.7114
_cell_length_b 5.7114
_cell_length_c 5.5556
_cell_angle_alpha 90.00
_cell_angle_beta 90.00
_cell_angle_gamma 90.00
loop_
_atom_site_label
_atom_site_type_symbol
_atom_site_fract_x
_atom_site_fract_y
_atom_site_fract_z
Rb1 Rb 0.0000 0.0000 0.0000
Y1 Y 0.0000 0.5000 0.0000
Cu1 Cu 0.5000 0.5000 0.5000
Hg1 Hg 0.0000 0.0000 0.5000
```

Most intense lines, 10 to 90 degrees two-theta, most intense first:
- 2θ = 27.3°, I = 100.0, hkl 1 1 1
- 2θ = 31.3°, I = 76.5, hkl 2 0 0
- 2θ = 15.5°, I = 65.2, hkl 1 0 0
- 2θ = 45.6°, I = 53.7, hkl 2 0 2
- 2θ = 32.2°, I = 35.5, hkl 0 0 2
- 2θ = 53.3°, I = 31.0, hkl 3 1 1
- 2θ = 56.3°, I = 28.3, hkl 2 2 2
- 2θ = 44.9°, I = 28.1, hkl 2 2 0
- 2θ = 22.0°, I = 18.5, hkl 1 1 0
- 2θ = 83.3°, I = 18.4, hkl 4 2 2

Computed XRD peak list
Compound: CuReHg
Radiation: Cu Kα
Structure: a cell relaxed with GGA-PBE

Structural model:
```
data_CuReHg
_chemical_formula_sum 'Cu4 Re4 Hg4'
_symmetry_space_group_name_H-M 'F m m 2'
_symmetry_Int_Tables_number 42
_symmetry_space_group_name_Hall 'F 2 -2'
_cell_length_a 3.1087
_cell_length_b 4.5254
_cell_length_c 13.8287
_cell_angle_alpha 90.00
_cell_angle_beta 90.00
_cell_angle_gamma 90.00
loop_
_atom_site_label
_atom_site_type_symbol
_atom_site_fract_x
_atom_site_fract_y
_atom_site_fract_z
Cu1 Cu 0.0000 0.0000 0.0000
Re1 Re 0.0000 0.0000 0.6486
Hg1 Hg 0.0000 0.0000 0.3330
```

Most intense lines, 10 to 90 degrees two-theta, most intense first:
- 2θ = 40.3°, I = 100.0, hkl 1 1 3
- 2θ = 39.8°, I = 26.5, hkl 0 2 0
- 2θ = 39.1°, I = 25.0, hkl 0 0 6
- 2θ = 72.6°, I = 17.7, hkl 1 3 3
- 2θ = 57.0°, I = 16.6, hkl 0 2 6
- 2θ = 25.8°, I = 15.1, hkl 0 0 4
- 2θ = 71.6°, I = 14.6, hkl 1 1 9
- 2θ = 35.6°, I = 14.1, hkl 1 1 1
- 2θ = 12.8°, I = 13.5, hkl 0 0 2
- 2θ = 87.0°, I = 10.5, hkl 2 2 6

Computed XRD peak list
Compound: Cu2ReHg
Radiation: Cu Kα
Structure: a cell relaxed with GGA-PBE

Structural model:
```
data_Cu2ReHg
_chemical_formula_sum 'Cu2 Re1 Hg1'
_symmetry_space_group_name_H-M 'P 1 m 1'
_symmetry_Int_Tables_number 6
_cell_length_a 2.6822
_cell_length_b 4.2717
_cell_length_c 5.3894
_cell_angle_alpha 90.00
_cell_angle_beta 104.23
_cell_angle_gamma 90.00
loop_
_symmetry_equiv_pos_as_xyz
'x,y,z'
'x,-y,z'
loop_
_atom_site_label
_atom_site_type_symbol
_atom_site_fract_x
_atom_site_fract_y
_atom_site_fract_z
Cu1 Cu 0.0000 0.0000 0.0000
Cu2 Cu 0.1350 0.5000 0.2620
Re1 Re 0.4092 0.5000 0.8122
Hg1 Hg 0.7495 0.0000 0.4916
```

Most intense lines, 10 to 90 degrees two-theta, most intense first:
- 2θ = 40.6°, I = 100.0, hkl 1 1 0
- 2θ = 40.5°, I = 76.4, hkl 0 1 2
- 2θ = 27.0°, I = 47.7, hkl 0 1 1
- 2θ = 42.3°, I = 39.6, hkl 0 2 0
- 2θ = 76.2°, I = 32.9, hkl 0 3 2
- 2θ = 42.6°, I = 26.4, hkl 1 0 -2
- 2θ = 42.5°, I = 26.2, hkl 1 0 1
- 2θ = 61.6°, I = 17.8, hkl 1 2 -2
- 2θ = 61.5°, I = 17.6, hkl 1 2 1
- 2θ = 17.0°, I = 16.9, hkl 0 0 1

Computed XRD peak list
Compound: CuHgS6
Radiation: Cu Kα
Structure: a cell relaxed with GGA-PBE

Structural model:
```
data_CuHgS6
_chemical_formula_sum 'Cu1 Hg1 S6'
_symmetry_space_group_name_H-M 'P -1'
_symmetry_Int_Tables_number 2
_cell_length_a 3.7801
_cell_length_b 6.9197
_cell_length_c 8.0336
_cell_angle_alpha 84.10
_cell_angle_beta 80.03
_cell_angle_gamma 86.66
loop_
_symmetry_equiv_pos_as_xyz
'x,y,z'
'-x,-y,-z'
loop_
_atom_site_label
_atom_site_type_symbol
_atom_site_fract_x
_atom_site_fract_y
_atom_site_fract_z
Cu1 Cu 0.0000 0.0000 0.0000
Hg1 Hg 0.0000 0.5000 0.0000
S1 S 0.2602 0.2173 0.3577
S2 S 0.2998 0.4982 0.2514
S3 S 0.4174 0.0345 0.1707
```

Most intense lines, 10 to 90 degrees two-theta, most intense first:
- 2θ = 11.2°, I = 100.0, hkl 0 0 1
- 2θ = 28.2°, I = 28.8, hkl 1 0 -1
- 2θ = 25.9°, I = 26.4, hkl 0 2 0
- 2θ = 29.3°, I = 24.8, hkl 0 2 -1
- 2θ = 30.1°, I = 20.7, hkl 1 0 2
- 2θ = 16.3°, I = 20.4, hkl 0 1 1
- 2θ = 27.3°, I = 17.4, hkl 0 2 1
- 2θ = 12.9°, I = 14.5, hkl 0 1 0
- 2θ = 26.8°, I = 12.6, hkl 1 1 0
- 2θ = 45.5°, I = 11.8, hkl 1 2 -2

Computed XRD peak list
Compound: CuHg2SbS4
Radiation: Cu Kα
Structure: a cell relaxed with GGA-PBE

Structural model:
```
data_CuHg2SbS4
_chemical_formula_sum 'Cu2 Hg4 Sb2 S8'
_symmetry_space_group_name_H-M 'P m n 21'
_symmetry_Int_Tables_number 31
_cell_length_a 9.2874
_cell_length_b 6.5917
_cell_length_c 6.3842
_cell_angle_alpha 90.00
_cell_angle_beta 90.00
_cell_angle_gamma 90.00
loop_
_symmetry_equiv_pos_as_xyz
'x,y,z'
'-x+1/2,-y,z+1/2'
'-x,y,z'
'x+1/2,-y,z+1/2'
loop_
_atom_site_label
_atom_site_type_symbol
_atom_site_fract_x
_atom_site_fract_y
_atom_site_fract_z
Cu1 Cu 0.0000 0.1480 0.0000
Hg1 Hg 0.2488 0.3358 0.5022
Sb1 Sb 0.0000 0.7938 0.4667
S1 S 0.0000 0.1627 0.3625
S2 S 0.0000 0.8245 0.8634
S3 S 0.2131 0.2869 0.8999
```

Most intense lines, 10 to 90 degrees two-theta, most intense first:
- 2θ = 27.3°, I = 100.0, hkl 2 1 1
- 2θ = 28.0°, I = 48.6, hkl 0 0 2
- 2θ = 23.4°, I = 42.7, hkl 2 1 0
- 2θ = 30.5°, I = 36.6, hkl 0 2 1
- 2θ = 49.1°, I = 34.2, hkl 2 1 3
- 2θ = 45.7°, I = 29.0, hkl 2 3 0
- 2θ = 38.8°, I = 26.1, hkl 4 0 0
- 2θ = 54.4°, I = 25.5, hkl 2 3 2
- 2θ = 27.1°, I = 23.5, hkl 0 2 0
- 2θ = 48.5°, I = 20.5, hkl 4 0 2